Record 1
Starting from DFT lattice parameters and positions (GGA-PBE), the XRD peak list of TaInTc2 was computed for Cu Kα (weighted mean of Kα1 and Kα2).

Structural model:
Lattice parameters (Å, degrees): 3.241 4.459 9.261 90.00 90.00 90.00
Space group Imm2 (No. 44)
Asymmetric unit:
Ta1 0.000 0.000 0.000 (multiplicity 2)
In1 0.000 0.500 0.231 (multiplicity 2)
Tc1 0.000 0.000 0.475 (multiplicity 2)
Tc2 0.000 0.500 0.738 (multiplicity 2)

Largest 10 diffraction maxima, by angle, 2θ = 10–90°:
2θ (°), d (Å), intensity, h k l
38.90, 2.315, 25, 0 0 4
39.50, 2.282, 100, 1 1 2
40.46, 2.229, 24, 0 2 0
56.80, 1.621, 9, 2 0 0
57.37, 1.606, 17, 0 2 4
70.84, 1.330, 15, 1 1 6
70.99, 1.328, 8, 2 0 4
72.04, 1.311, 8, 2 2 0
72.94, 1.297, 16, 1 3 2
85.03, 1.141, 10, 2 2 4

***

Record 2
Starting from DFT lattice parameters and positions (GGA-PBE), the XRD peak list of Li4Fe3 was computed for Cu Kα (weighted mean of Kα1 and Kα2).

Structural model:
Lattice parameters (Å, degrees): 4.7361 4.7361 4.9848 90.00 90.00 120.00
Space group P6/mmm (No. 191)
Asymmetric unit:
Li1 0.0000 0.0000 0.2473 (multiplicity 2)
Li2 0.3333 0.6667 0.5000 (multiplicity 2)
Fe1 0.0000 0.5000 0.0000 (multiplicity 3)

Largest 10 diffraction maxima, by angle, 2θ = 10–90°:
2θ (°), d (Å), intensity, h k l
17.79, 4.985, 100, 0 0 1
21.67, 4.102, 19, 1 0 0
28.18, 3.167, 20, 1 0 1
36.04, 2.492, 18, 0 0 2
42.25, 2.139, 10, 1 1 1
42.44, 2.130, 12, 1 0 2
44.16, 2.051, 32, 2 0 0
47.97, 1.897, 49, 2 0 1
58.26, 1.584, 20, 2 0 2
73.33, 1.291, 12, 2 0 3

***

Record 3
Starting from DFT lattice parameters and positions (GGA-PBE), the XRD peak list of ReAg2Br6 was computed for Cu Kα (weighted mean of Kα1 and Kα2).

Structural model:
Lattice parameters (Å, degrees): 6.586 7.035 11.672 90.00 90.00 90.00
Space group Pnnm (No. 58)
Asymmetric unit:
Re1 0.000 0.000 0.000 (multiplicity 2)
Ag1 0.000 0.500 0.186 (multiplicity 4)
Br1 0.217 0.159 0.153 (multiplicity 8)
Br2 0.226 0.711 0.000 (multiplicity 4)

Largest 10 diffraction maxima, by angle, 2θ = 10–90°:
2θ (°), d (Å), intensity, h k l
14.70, 6.025, 24, 0 1 1
15.45, 5.736, 100, 1 0 1
23.98, 3.711, 66, 1 1 2
28.77, 3.103, 28, 1 2 0
29.54, 3.024, 67, 1 1 3
29.80, 2.999, 20, 1 2 1
37.41, 2.404, 45, 2 2 0
38.02, 2.367, 67, 2 1 3
43.82, 2.066, 18, 1 3 2
45.14, 2.008, 39, 0 3 3

***

Record 4
Starting from DFT lattice parameters and positions (GGA-PBE), the XRD peak list of RbSn2Pt3 was computed for Cu Kα (weighted mean of Kα1 and Kα2).

Structural model:
Lattice parameters (Å, degrees): 17.927 4.117 8.747 90.00 103.33 90.00
Space group C2/m (No. 12)
Asymmetric unit:
Rb1 0.122 0.000 0.065 (multiplicity 4)
Sn1 0.026 0.500 0.324 (multiplicity 4)
Sn2 0.219 0.000 0.714 (multiplicity 4)
Pt1 0.078 0.000 0.509 (multiplicity 4)
Pt2 0.127 0.500 0.741 (multiplicity 4)
Pt3 0.189 0.500 0.478 (multiplicity 4)

Largest 10 diffraction maxima, by angle, 2θ = 10–90°:
2θ (°), d (Å), intensity, h k l
10.39, 8.511, 100, 0 0 1
12.75, 6.944, 10, 2 0 -1
29.83, 2.995, 45, 1 1 -2
36.53, 2.460, 15, 5 1 -2
37.12, 2.422, 22, 5 1 1
38.71, 2.326, 13, 3 1 -3
41.98, 2.152, 10, 8 0 -2
42.45, 2.130, 13, 0 0 4
43.14, 2.097, 16, 5 1 2
43.98, 2.059, 17, 0 2 0

***

Record 5
Starting from DFT lattice parameters and positions (GGA-PBE), the XRD peak list of Tm2ThTe2 was computed for Cu Kα (weighted mean of Kα1 and Kα2).

Structural model:
Lattice parameters (Å, degrees): 3.869 5.963 7.113 89.76 74.24 89.78
Space group P-1 (No. 2)
Asymmetric unit:
Tm1 0.194 0.211 0.110 (multiplicity 2)
Th1 0.500 0.000 0.500 (multiplicity 1)
Te1 0.134 0.698 0.235 (multiplicity 2)

Largest 10 diffraction maxima, by angle, 2θ = 10–90°:
2θ (°), d (Å), intensity, h k l
14.86, 5.963, 27, 0 1 0
28.22, 3.162, 20, 1 1 0
30.15, 2.964, 35, 0 1 -2
30.29, 2.951, 100, 1 0 -1
32.73, 2.736, 46, 0 2 1
33.86, 2.647, 43, 1 1 2
38.63, 2.331, 29, 1 2 0
38.78, 2.322, 28, 1 -2 1
42.38, 2.133, 25, 0 1 3
46.97, 1.935, 19, 2 0 1

***

Record 6
Starting from DFT lattice parameters and positions (GGA-PBE), the XRD peak list of HoMg3Pb4 was computed for Cu Kα (weighted mean of Kα1 and Kα2).

Structural model:
Lattice parameters (Å, degrees): 3.964 5.112 10.486 90.00 90.00 90.00
Space group Pmmm (No. 47)
Asymmetric unit:
Ho1 0.000 0.000 0.000 (multiplicity 1)
Mg1 0.000 0.000 0.500 (multiplicity 1)
Mg2 0.000 0.500 0.249 (multiplicity 2)
Pb1 0.500 0.000 0.260 (multiplicity 2)
Pb2 0.500 0.500 0.000 (multiplicity 1)
Pb3 0.500 0.500 0.500 (multiplicity 1)

Largest 10 diffraction maxima, by angle, 2θ = 10–90°:
2θ (°), d (Å), intensity, h k l
22.43, 3.964, 20, 1 0 0
24.32, 3.660, 32, 0 1 2
33.32, 2.689, 100, 1 1 2
34.20, 2.622, 23, 0 0 4
35.11, 2.556, 22, 0 2 0
49.83, 1.830, 16, 0 2 4
60.68, 1.526, 18, 1 1 6
61.85, 1.500, 19, 1 3 2
69.97, 1.345, 12, 2 2 4
82.76, 1.166, 12, 1 3 6